Diffraction record for KCa2P4H11O18. The powder diffractogram is simulated, not measured: it uses a GGA-PBE-relaxed structure and Cu Kα (weighted mean of Kα1 and Kα2).
Kinematic intensities with the Lorentz-polarization factor, no thermal factor.

Lattice parameters (Å, degrees): 5.701 6.354 12.286 76.48 84.39 65.00
Space group P1 (No. 1)
Inequivalent atoms, fractional coordinates:
K (0.000, 0.000, 0.000)
Ca (0.508, 0.685, 0.571)
Ca (0.514, 0.279, 0.371)
P (0.006, 0.774, 0.376)
P (0.011, 0.194, 0.565)
P (0.345, 0.369, 0.832)
P (0.653, 0.613, 0.104)
H (0.135, 0.056, 0.274)
H (0.143, 0.396, 0.658)
H (0.249, 0.297, 0.164)
H (0.468, 0.043, 0.168)
H (0.487, 0.005, 0.950)
H (0.500, 0.487, 0.967)
H (0.542, 0.922, 0.766)
H (0.776, 0.674, 0.773)
H (0.877, 0.578, 0.278)
H (0.887, 0.919, 0.674)
H (0.988, 0.487, 0.978)
O (0.041, 0.591, 0.300)
O (0.046, 0.952, 0.652)
O (0.072, 0.522, 0.869)
O (0.256, 0.658, 0.442)
O (0.265, 0.124, 0.502)
O (0.358, 0.153, 0.218)
O (0.370, 0.413, 0.705)
O (0.394, 0.091, 0.873)
O (0.442, 0.574, 0.050)
O (0.562, 0.394, 0.889)
O (0.608, 0.878, 0.064)
O (0.652, 0.543, 0.232)
O (0.661, 0.813, 0.719)
O (0.749, 0.842, 0.436)
O (0.759, 0.303, 0.502)
O (0.930, 0.446, 0.064)
O (0.976, 0.021, 0.295)
O (0.977, 0.388, 0.635)

The 10 most intense peaks (2θ from 10° to 90°), low angle first:
index, Position (°2θ), d/Å, intensity
0 0 2, 14.83, 5.973, 194
1 1 2, 21.03, 4.224, 494
0 1 3, 24.48, 3.636, 239
1 1 -2, 25.39, 3.507, 1000
1 1 3, 25.94, 3.435, 393
1 -1 0, 27.89, 3.198, 339
1 0 3, 28.31, 3.153, 246
-1 1 2, 29.98, 2.980, 287
0 2 -1, 34.27, 2.616, 334
2 0 -3, 41.67, 2.167, 197



Diffraction record for K2CaH2S2O9. The powder diffractogram is simulated, not measured: it uses a GGA-PBE-relaxed structure and Cu Kα (weighted mean of Kα1 and Kα2).
Kinematic intensities with the Lorentz-polarization factor, no thermal factor.

Lattice parameters (Å, degrees): 6.335 7.213 9.925 90.00 103.61 90.00
Space group P2_1/m (No. 11)
Inequivalent atoms, fractional coordinates:
K (0.185, 0.005, 0.334)
Ca (0.335, 0.250, 0.968)
H (0.410, 0.639, 0.751)
S (0.160, 0.750, 0.008)
S (0.281, 0.250, 0.641)
O (0.015, 0.250, 0.121)
O (0.054, 0.750, 0.128)
O (0.069, 0.250, 0.535)
O (0.292, 0.084, 0.733)
O (0.304, 0.584, 0.017)
O (0.463, 0.250, 0.570)
O (0.496, 0.250, 0.223)

The 10 most intense peaks (2θ from 10° to 90°), low angle first:
index, Position (°2θ), d/Å, intensity
0 1 1, 15.34, 5.777, 482
1 1 0, 18.95, 4.683, 344
0 2 1, 26.38, 3.378, 332
0 0 3, 27.74, 3.216, 769
2 0 0, 29.02, 3.077, 297
0 2 2, 30.95, 2.890, 1000
1 2 1, 31.23, 2.864, 551
1 2 -2, 32.33, 2.769, 558
2 0 -3, 35.30, 2.543, 380
0 4 0, 50.61, 1.804, 291